(1)
The following is a calculated powder X-ray diffraction pattern of Ca4Ni2F. It was derived from a crystal structure in Alexandria, relaxed with PBE+U, using λ = 1.5418 Å (Cu Kα).
Peak positions follow from Bragg's law for the DFT cell and can differ from measured ones.

Cell and atoms:
Cell: 4.651 4.651 14.870 Å, 90.00 90.00 90.00°
Fractional coordinates of all 14 atoms:
Ca: 0.000 0.000 0.192
Ca: 0.000 0.000 0.808
Ca: 0.000 0.500 0.000
Ca: 0.000 0.500 0.500
Ca: 0.500 0.000 0.000
Ca: 0.500 0.000 0.500
Ca: 0.500 0.500 0.308
Ca: 0.500 0.500 0.692
Ni: 0.000 0.000 0.379
Ni: 0.000 0.000 0.621
Ni: 0.500 0.500 0.121
Ni: 0.500 0.500 0.879
F: 0.000 0.000 0.000
F: 0.500 0.500 0.500

Most intense lines, 10° ≤ 2θ ≤ 90°, sorted by position:
d = 7.435 Å, 2θ = 11.90°, I = 22.3
d = 4.439 Å, 2θ = 20.00°, I = 19.5
d = 3.288 Å, 2θ = 27.12°, I = 58.1
d = 3.007 Å, 2θ = 29.71°, I = 59.7
d = 2.505 Å, 2θ = 35.84°, I = 100.0
d = 2.463 Å, 2θ = 36.48°, I = 78.3
d = 2.325 Å, 2θ = 38.72°, I = 97.0
d = 1.704 Å, 2θ = 53.79°, I = 56.0
d = 1.644 Å, 2θ = 55.92°, I = 30.0
d = 1.368 Å, 2θ = 68.63°, I = 21.9

=====

(2)
The following is a calculated powder X-ray diffraction pattern of Ba4Ni6F19. It was derived from a crystal structure in Alexandria, relaxed with PBE+U, using λ = 1.5418 Å (Cu Kα).
Peak positions follow from Bragg's law for the DFT cell and can differ from measured ones.

Cell and atoms:
Cell: 8.237 8.237 8.237 Å, 109.47 109.47 109.47°
Fractional coordinates of all 29 atoms:
Ba: 0.000 0.000 0.664
Ba: 0.000 0.664 0.000
Ba: 0.336 0.336 0.336
Ba: 0.664 0.000 0.000
Ni: 0.156 0.656 0.500
Ni: 0.344 0.500 0.844
Ni: 0.500 0.156 0.656
Ni: 0.500 0.844 0.344
Ni: 0.656 0.500 0.156
Ni: 0.844 0.344 0.500
F: 0.000 0.000 0.000
F: 0.000 0.347 0.347
F: 0.000 0.653 0.653
F: 0.046 0.372 0.749
F: 0.251 0.622 0.297
F: 0.297 0.251 0.622
F: 0.326 0.954 0.703
F: 0.347 0.000 0.347
F: 0.347 0.347 0.000
F: 0.372 0.749 0.046
F: 0.378 0.628 0.674
F: 0.622 0.297 0.251
F: 0.628 0.674 0.378
F: 0.653 0.000 0.653
F: 0.653 0.653 0.000
F: 0.674 0.378 0.628
F: 0.703 0.326 0.954
F: 0.749 0.046 0.372
F: 0.954 0.703 0.326

Most intense lines, 10° ≤ 2θ ≤ 90°, sorted by position:
d = 3.883 Å, 2θ = 22.90°, I = 100.0
d = 3.008 Å, 2θ = 29.70°, I = 62.8
d = 2.542 Å, 2θ = 35.31°, I = 31.3
d = 2.242 Å, 2θ = 40.22°, I = 84.4
d = 1.942 Å, 2θ = 46.79°, I = 23.0
d = 1.865 Å, 2θ = 48.82°, I = 24.1
d = 1.737 Å, 2θ = 52.71°, I = 15.3
d = 1.585 Å, 2θ = 58.19°, I = 38.3
d = 1.294 Å, 2θ = 73.11°, I = 24.5
d = 1.171 Å, 2θ = 82.36°, I = 14.3